Theoretical powder diffraction line list of Na5Ti2Si2PO13 for Cu Kα (weighted mean of Kα1 and Kα2), from a GGA-PBE-relaxed structure.
Lines closer than 0.1° are merged.

Cell and atoms:
Lattice parameters (Å, degrees): 5.461 7.159 14.699 100.01 96.56 90.57
Atoms (fractional coordinates):
Na (0.173, 0.421, 0.232)
Na (0.244, 0.744, 0.419)
Na (0.246, 0.123, 0.999)
Na (0.321, 0.033, 0.638)
Na (0.326, 0.540, 0.605)
Na (0.674, 0.460, 0.395)
Na (0.679, 0.967, 0.362)
Na (0.754, 0.877, 0.001)
Na (0.756, 0.256, 0.581)
Na (0.827, 0.579, 0.768)
Ti (0.171, 0.930, 0.221)
Ti (0.221, 0.618, 0.010)
Ti (0.779, 0.382, 0.990)
Ti (0.829, 0.070, 0.779)
Si (0.328, 0.795, 0.824)
Si (0.353, 0.358, 0.803)
Si (0.647, 0.642, 0.197)
Si (0.672, 0.205, 0.176)
P (0.178, 0.227, 0.430)
P (0.822, 0.773, 0.570)
O (0.060, 0.876, 0.792)
O (0.082, 0.422, 0.067)
O (0.098, 0.241, 0.758)
O (0.101, 0.774, 0.560)
O (0.138, 0.827, 0.092)
O (0.234, 0.035, 0.364)
O (0.252, 0.401, 0.388)
O (0.321, 0.570, 0.770)
O (0.330, 0.230, 0.526)
O (0.359, 0.800, 0.936)
O (0.413, 0.394, 0.918)
O (0.413, 0.731, 0.249)
O (0.445, 0.098, 0.209)
O (0.555, 0.902, 0.791)
O (0.587, 0.269, 0.751)
O (0.587, 0.606, 0.082)
O (0.641, 0.200, 0.064)
O (0.670, 0.770, 0.474)
O (0.679, 0.430, 0.230)
O (0.748, 0.599, 0.612)
O (0.766, 0.965, 0.636)
O (0.862, 0.173, 0.908)
O (0.899, 0.226, 0.440)
O (0.902, 0.759, 0.242)
O (0.918, 0.578, 0.933)
O (0.940, 0.124, 0.208)

Peak list (6 most intense, 2θ from 10° to 90°, sorted by position)
5.543 Å, I = 43, hkl 0 1 -2; 2.875 Å, I = 100, hkl 0 0 5; 2.759 Å, I = 58, hkl 1 2 -3; 2.711 Å, I = 53, hkl 2 0 0; 2.686 Å, I = 75, hkl -1 2 2; 2.643 Å, I = 44, hkl 1 -2 3